Entry 1:
Structure and computed powder X-ray diffraction pattern of Ca2Mn2Si4H6O17 (a GGA+U-relaxed structure; CuKα).
Intensities are scaled so that the largest is 100.

Peak list (10 most intense, 2θ = 10–90°, by intensity)
d/Å  intensity
4.165  100
3.075  70
2.624  64
2.754  59
2.938  58
3.698  53
2.566  52
5.191  52
3.159  42
4.977  41

Crystal structure
Lattice parameters (Å, degrees): 5.356 5.582 12.092 88.27 87.39 68.43
Positions (direct):
Ca  0.000  0.000  0.000
Ca  0.391  0.402  0.467
Mn  0.195  0.704  0.733
Mn  0.694  0.203  0.734
Si  0.584  0.611  0.130
Si  0.676  0.649  0.885
Si  0.713  0.758  0.581
Si  0.780  0.820  0.337
H  0.100  0.100  0.543
H  0.172  0.644  0.241
H  0.263  0.392  0.047
H  0.297  0.294  0.923
H  0.752  0.230  0.225
H  0.993  0.136  0.419
O  0.036  0.622  0.605
O  0.060  0.052  0.684
O  0.104  0.638  0.322
O  0.141  0.138  0.465
O  0.270  0.667  0.115
O  0.283  0.240  0.001
O  0.327  0.357  0.782
O  0.355  0.788  0.860
O  0.538  0.603  0.648
O  0.601  0.067  0.601
O  0.622  0.774  0.233
O  0.679  0.698  0.450
O  0.718  0.702  0.016
O  0.726  0.122  0.349
O  0.767  0.300  0.147
O  0.786  0.339  0.866
O  0.852  0.802  0.819

---

Entry 2:
Structure and computed powder X-ray diffraction pattern of Ca2Mn2Si4H6O17 (a GGA+U-relaxed structure; CuKα).
Intensities are scaled so that the largest is 100.

Peak list (10 most intense, 2θ = 10–90°, by intensity)
d/Å  intensity
2.698  100
4.142  92
5.024  83
3.070  73
2.512  58
2.285  52
3.749  52
2.897  51
1.616  50
2.589  44

Crystal structure
Lattice parameters (Å, degrees): 5.455 5.455 12.032 93.45 93.45 67.18
Positions (direct):
Ca  0.198  0.198  0.266
Ca  0.802  0.802  0.734
Mn  0.498  0.001  0.000
Mn  0.999  0.502  0.000
Si  0.390  0.410  0.604
Si  0.464  0.464  0.851
Si  0.536  0.536  0.149
Si  0.590  0.610  0.396
H  0.065  0.184  0.675
H  0.110  0.095  0.802
H  0.554  0.017  0.507
H  0.816  0.935  0.325
H  0.905  0.890  0.198
H  0.983  0.446  0.493
O  0.078  0.473  0.614
O  0.082  0.037  0.723
O  0.141  0.146  0.943
O  0.146  0.601  0.874
O  0.368  0.369  0.079
O  0.399  0.854  0.126
O  0.437  0.563  0.500
O  0.494  0.482  0.279
O  0.518  0.506  0.721
O  0.527  0.922  0.386
O  0.569  0.088  0.588
O  0.595  0.146  0.873
O  0.631  0.632  0.921
O  0.854  0.405  0.127
O  0.854  0.859  0.057
O  0.912  0.431  0.412
O  0.963  0.918  0.277

---

Entry 3:
Structure and computed powder X-ray diffraction pattern of Ca2VP3H4O13 (a GGA+U-relaxed structure; CuKα).
Intensities are scaled so that the largest is 100.

Peak list (10 most intense, 2θ = 10–90°, by intensity)
d/Å  intensity
3.433  100
6.343  91
2.898  76
3.452  46
2.680  36
2.476  32
1.714  26
2.103  25
2.669  22
2.881  21

Crystal structure
Lattice parameters (Å, degrees): 8.786 8.786 9.291 100.04 100.04 128.74
Positions (direct):
Ca  0.222  0.239  0.438
Ca  0.239  0.222  0.938
Ca  0.761  0.778  0.062
Ca  0.778  0.761  0.562
V  0.000  0.500  0.500
V  0.500  0.000  0.000
P  0.016  0.317  0.152
P  0.317  0.016  0.652
P  0.397  0.603  0.750
P  0.603  0.397  0.250
P  0.683  0.984  0.348
P  0.984  0.683  0.848
H  0.053  0.786  0.286
H  0.208  0.590  0.072
H  0.214  0.947  0.214
H  0.410  0.792  0.428
H  0.590  0.208  0.572
H  0.786  0.053  0.786
H  0.792  0.410  0.928
H  0.947  0.214  0.714
O  0.021  0.143  0.122
O  0.085  0.419  0.332
O  0.097  0.903  0.250
O  0.143  0.021  0.622
O  0.159  0.468  0.657
O  0.187  0.743  0.946
O  0.194  0.475  0.091
O  0.257  0.813  0.554
O  0.416  0.510  0.870
O  0.419  0.085  0.832
O  0.468  0.159  0.157
O  0.475  0.194  0.591
O  0.490  0.584  0.630
O  0.510  0.416  0.370
O  0.525  0.806  0.409
O  0.532  0.841  0.843
O  0.581  0.915  0.168
O  0.584  0.490  0.130
O  0.743  0.187  0.446
O  0.806  0.525  0.909
O  0.813  0.257  0.054
O  0.841  0.532  0.343
O  0.857  0.979  0.378
O  0.903  0.097  0.750
O  0.915  0.581  0.668
O  0.979  0.857  0.878

---

Entry 4:
Structure and computed powder X-ray diffraction pattern of CaPH5W2O4 (a GGA+U-relaxed structure; CuKα).
Intensities are scaled so that the largest is 100.

Peak list (10 most intense, 2θ = 10–90°, by intensity)
d/Å  intensity
3.228  100
4.072  96
2.851  57
2.610  54
2.591  46
3.000  44
2.520  32
2.425  28
2.960  28
4.851  21

Crystal structure
Lattice parameters (Å, degrees): 11.073 11.073 5.635 96.50 96.50 146.24
Positions (direct):
Ca  0.201  0.799  0.500
Ca  0.799  0.201  0.000
P  0.280  0.664  0.978
P  0.664  0.280  0.478
H  0.029  0.259  0.299
H  0.147  0.168  0.822
H  0.168  0.147  0.322
H  0.259  0.029  0.799
H  0.467  0.633  0.429
H  0.582  0.891  0.340
H  0.633  0.467  0.929
H  0.703  0.776  0.973
H  0.776  0.703  0.473
H  0.891  0.582  0.840
W  0.215  0.330  0.161
W  0.330  0.215  0.661
W  0.763  0.848  0.677
W  0.848  0.763  0.177
O  0.148  0.635  0.115
O  0.165  0.438  0.921
O  0.308  0.734  0.748
O  0.438  0.165  0.421
O  0.554  0.888  0.167
O  0.635  0.148  0.615
O  0.734  0.308  0.248
O  0.888  0.554  0.667